(1)
Diffraction record for Cu3Ni7Ge. The X-ray diffraction stick pattern is computed, not measured: it uses a PBE-relaxed structure and Cu Kα (weighted mean of Kα1 and Kα2).
Kinematic intensities with the Lorentz-polarization factor, no thermal factor.

Top 8 peaks for 5 to 70 degrees two-theta, sorted by position:
| two_theta | I/Imax |
| --- | --- |
| 32.74 | 208 |
| 40.70 | 501 |
| 42.99 | 228 |
| 44.14 | 574 |
| 45.34 | 1000 |
| 48.63 | 296 |
| 50.77 | 208 |
| 61.59 | 223 |

```
Cu3Ni7Ge
1.0
4.211 -4.103 0.000
4.211 4.103 0.000
-1.960 0.000 4.001
Cu Ni Ge
3 7 1
direct
0.000 0.000 0.000
0.200 0.800 0.500
0.800 0.200 0.500
0.074 0.583 0.832
0.222 0.222 0.547
0.417 0.926 0.168
0.500 0.500 0.500
0.583 0.074 0.832
0.778 0.778 0.453
0.926 0.417 0.168
0.500 0.500 0.000
```

(2)
Diffraction record for Ac3PrPt. The X-ray diffraction stick pattern is computed, not measured: it uses a PBE-relaxed structure and Cu Kα (weighted mean of Kα1 and Kα2).
Kinematic intensities with the Lorentz-polarization factor, no thermal factor.

Top 8 peaks for 5 to 70 degrees two-theta, sorted by position:
| two_theta | I/Imax |
| --- | --- |
| 8.46 | 406 |
| 26.43 | 320 |
| 28.10 | 803 |
| 28.31 | 787 |
| 28.54 | 1000 |
| 36.49 | 347 |
| 36.97 | 278 |
| 43.77 | 523 |

```
Ac3PrPt
1.0
10.640 0.000 0.000
0.000 7.200 0.000
-1.968 0.000 10.333
Ac Pr Pt
12 4 4
direct
0.071 0.060 0.192
0.071 0.440 0.692
0.220 0.595 0.080
0.220 0.905 0.580
0.331 0.100 0.954
0.331 0.400 0.454
0.669 0.600 0.546
0.669 0.900 0.046
0.780 0.095 0.420
0.780 0.405 0.920
0.929 0.560 0.308
0.929 0.940 0.808
0.442 0.576 0.818
0.442 0.924 0.318
0.558 0.076 0.682
0.558 0.424 0.182
0.064 0.227 0.450
0.064 0.273 0.950
0.936 0.727 0.050
0.936 0.773 0.550
```

(3)
Diffraction record for Hf12Sn5C2. The X-ray diffraction stick pattern is computed, not measured: it uses a PBE-relaxed structure and Cu Kα (weighted mean of Kα1 and Kα2).
Kinematic intensities with the Lorentz-polarization factor, no thermal factor.

Top 8 peaks for 5 to 70 degrees two-theta, sorted by position:
| two_theta | I/Imax |
| --- | --- |
| 24.60 | 213 |
| 26.80 | 306 |
| 28.43 | 365 |
| 33.71 | 337 |
| 34.16 | 551 |
| 35.37 | 1000 |
| 36.13 | 262 |
| 37.48 | 313 |

```
Hf12Sn5C2
1.0
7.888 -3.464 0.000
7.888 3.464 0.000
-2.767 0.000 8.039
Hf Sn C
12 5 2
direct
0.005 0.005 0.173
0.082 0.623 0.918
0.145 0.589 0.461
0.377 0.918 0.082
0.411 0.855 0.539
0.490 0.490 0.807
0.510 0.510 0.193
0.589 0.145 0.461
0.623 0.082 0.918
0.855 0.411 0.539
0.918 0.377 0.082
0.995 0.995 0.827
0.000 0.000 0.500
0.280 0.280 0.648
0.317 0.317 0.155
0.683 0.683 0.845
0.720 0.720 0.352
0.262 0.738 0.000
0.738 0.262 0.000
```

(4)
Diffraction record for Dy3HfNi8. The X-ray diffraction stick pattern is computed, not measured: it uses a PBE-relaxed structure and Cu Kα (weighted mean of Kα1 and Kα2).
Kinematic intensities with the Lorentz-polarization factor, no thermal factor.

Top 8 peaks for 5 to 70 degrees two-theta, sorted by position:
| two_theta | I/Imax |
| --- | --- |
| 21.68 | 142 |
| 35.76 | 650 |
| 42.20 | 1000 |
| 44.18 | 148 |
| 64.16 | 60 |
| 64.29 | 179 |
| 68.61 | 74 |
| 68.70 | 227 |

```
Dy3HfNi8
1.0
2.509 1.448 8.213
-2.509 1.448 8.213
0.000 -2.897 8.213
Dy Hf Ni
3 1 8
direct
0.000 0.000 0.000
0.126 0.126 0.126
0.501 0.501 0.501
0.625 0.625 0.625
0.057 0.562 0.562
0.064 0.064 0.567
0.064 0.567 0.064
0.313 0.313 0.313
0.562 0.057 0.562
0.562 0.562 0.057
0.567 0.064 0.064
0.813 0.813 0.813
```

(5)
Diffraction record for CeSbCl6. The X-ray diffraction stick pattern is computed, not measured: it uses a PBE-relaxed structure and Cu Kα (weighted mean of Kα1 and Kα2).
Kinematic intensities with the Lorentz-polarization factor, no thermal factor.

Top 8 peaks for 5 to 70 degrees two-theta, sorted by position:
| two_theta | I/Imax |
| --- | --- |
| 14.40 | 941 |
| 17.86 | 1000 |
| 22.78 | 436 |
| 30.78 | 746 |
| 30.90 | 343 |
| 33.00 | 321 |
| 40.20 | 366 |
| 45.75 | 461 |

```
CeSbCl6
1.0
3.407 -6.152 0.000
3.407 6.152 0.000
-1.839 0.000 6.558
Ce Sb Cl
1 1 6
direct
0.000 0.000 0.000
0.500 0.500 0.500
0.114 0.407 0.256
0.249 0.249 0.741
0.407 0.114 0.256
0.593 0.886 0.744
0.751 0.751 0.259
0.886 0.593 0.744
```

(6)
Diffraction record for Pm5Er8Tl. The X-ray diffraction stick pattern is computed, not measured: it uses a PBE-relaxed structure and Cu Kα (weighted mean of Kα1 and Kα2).
Kinematic intensities with the Lorentz-polarization factor, no thermal factor.

Top 8 peaks for 5 to 70 degrees two-theta, sorted by position:
| two_theta | I/Imax |
| --- | --- |
| 28.28 | 781 |
| 29.40 | 684 |
| 29.53 | 957 |
| 31.92 | 247 |
| 34.04 | 1000 |
| 34.64 | 573 |
| 34.99 | 561 |
| 63.61 | 248 |

```
Pm5Er8Tl
1.0
6.760 -5.014 0.000
6.760 5.014 0.000
-6.757 0.000 6.767
Pm Er Tl
5 8 1
direct
0.000 0.000 0.000
0.321 0.477 0.112
0.366 0.209 0.687
0.523 0.679 0.888
0.791 0.634 0.313
0.028 0.831 0.252
0.057 0.569 0.730
0.169 0.972 0.748
0.224 0.421 0.393
0.431 0.943 0.270
0.579 0.776 0.607
0.673 0.160 0.104
0.840 0.327 0.896
0.751 0.249 0.500
```